Ba2Co9O14: computed powder diffraction line list (Cu Kα, 1.54184 Å), based on a cell relaxed with PBE+U.
Peak positions follow from Bragg's law for the DFT cell and can differ from measured ones.

Structure:
```
data_Ba2Co9O14
_chemical_formula_sum 'Ba6 Co27 O42'
_symmetry_space_group_name_H-M 'R -3 m'
_symmetry_Int_Tables_number 166
_symmetry_space_group_name_Hall '-R 3 2"'
_cell_length_a 5.7509
_cell_length_b 5.7509
_cell_length_c 29.1544
_cell_angle_alpha 90.00
_cell_angle_beta 90.00
_cell_angle_gamma 120.00
loop_
_atom_site_label
_atom_site_fract_x
_atom_site_fract_y
_atom_site_fract_z
Ba1 0.0000 0.0000 0.1155
Co1 0.0000 0.0000 0.0000
Co2 0.0000 0.0000 0.2327
Co3 0.0000 0.0000 0.4129
Co4 0.0000 0.0000 0.5000
Co5 0.0000 0.5000 0.0000
O1 0.0000 0.0000 0.2996
O2 0.0260 0.5130 0.2962
O3 0.0366 0.5183 0.1224
```

Main lines, sorted by position (2θ from 10° to 80°):
2θ = 27.54°, intensity 45
2θ = 30.39°, intensity 33
2θ = 31.10°, intensity 100
2θ = 36.26°, intensity 49
2θ = 42.29°, intensity 29
2θ = 44.04°, intensity 43
2θ = 48.05°, intensity 36
2θ = 64.85°, intensity 36